# Nd2YIn6
Theoretical powder XRD pattern, a wavelength of 1.5418 Å. Input: a structure optimized by DFT (PBE).
Peak positions follow from Bragg's law for the DFT cell and can differ from measured ones.

Crystal structure
Lattice parameters (Å, degrees): 8.658 8.658 3.677 90.00 90.00 120.00
Atoms (fractional coordinates):
Nd  0.333  0.667  0.000
Nd  0.667  0.333  0.000
Y  0.000  0.000  0.000
In  0.000  0.332  0.500
In  0.000  0.668  0.500
In  0.332  0.000  0.500
In  0.332  0.332  0.500
In  0.668  0.000  0.500
In  0.668  0.668  0.500

Largest 6 diffraction maxima, in order of rising 2θ, 2θ = 10–80°:
2theta, I_rel, (hkl)
31.9, 100, 1 1 1
35.9, 80, 3 0 0
48.8, 30, 2 2 1
62.1, 29, 4 1 1
62.7, 30, 3 0 2
64.6, 14, 3 3 0

# Nd6Zn3In
Theoretical powder XRD pattern, a wavelength of 1.5418 Å. Input: a structure optimized by DFT (PBE).
Peak positions follow from Bragg's law for the DFT cell and can differ from measured ones.

Crystal structure
Lattice parameters (Å, degrees): 9.565 5.194 11.566 90.00 105.79 90.00
Atoms (fractional coordinates):
Nd  0.037  0.250  0.409
Nd  0.148  0.750  0.183
Nd  0.223  0.250  0.990
Nd  0.321  0.750  0.799
Nd  0.379  0.250  0.341
Nd  0.391  0.250  0.620
Nd  0.609  0.750  0.380
Nd  0.621  0.750  0.659
Nd  0.679  0.250  0.201
Nd  0.777  0.750  0.010
Nd  0.852  0.250  0.817
Nd  0.963  0.750  0.591
Zn  0.030  0.750  0.877
Zn  0.114  0.250  0.710
Zn  0.272  0.750  0.475
Zn  0.728  0.250  0.525
Zn  0.886  0.750  0.290
Zn  0.970  0.250  0.123
In  0.452  0.750  0.098
In  0.548  0.250  0.902

Largest 6 diffraction maxima, in order of rising 2θ, 2θ = 10–80°:
2theta, I_rel, (hkl)
32.8, 42, 2 0 -4
33.0, 87, 3 1 -1
33.2, 100, 1 1 3
34.5, 53, 0 2 0
48.3, 28, 2 2 -4
61.0, 17, 1 3 3

# NdZn3In3
Theoretical powder XRD pattern, a wavelength of 1.5418 Å. Input: a structure optimized by DFT (PBE).
Peak positions follow from Bragg's law for the DFT cell and can differ from measured ones.

Crystal structure
Lattice parameters (Å, degrees): 7.342 7.342 7.342 90.00 90.00 90.00
Atoms (fractional coordinates):
Nd  0.000  0.000  0.000
Nd  0.500  0.500  0.500
Zn  0.000  0.250  0.500
Zn  0.000  0.750  0.500
Zn  0.250  0.500  0.000
Zn  0.500  0.000  0.250
Zn  0.500  0.000  0.750
Zn  0.750  0.500  0.000
In  0.000  0.500  0.250
In  0.000  0.500  0.750
In  0.250  0.000  0.500
In  0.500  0.250  0.000
In  0.500  0.750  0.000
In  0.750  0.000  0.500

Largest 6 diffraction maxima, in order of rising 2θ, 2θ = 10–80°:
2theta, I_rel, (hkl)
24.2, 42, 2 0 0
29.8, 100, 2 1 1
42.7, 20, 2 2 2
46.3, 59, 3 2 1
49.7, 27, 4 0 0
56.0, 16, 4 2 0

What did the third record say?
# NdZn3In3
Theoretical powder XRD pattern, a wavelength of 1.5418 Å. Input: a structure optimized by DFT (PBE).
Peak positions follow from Bragg's law for the DFT cell and can differ from measured ones.

Crystal structure
Lattice parameters (Å, degrees): 7.342 7.342 7.342 90.00 90.00 90.00
Atoms (fractional coordinates):
Nd  0.000  0.000  0.000
Nd  0.500  0.500  0.500
Zn  0.000  0.250  0.500
Zn  0.000  0.750  0.500
Zn  0.250  0.500  0.000
Zn  0.500  0.000  0.250
Zn  0.500  0.000  0.750
Zn  0.750  0.500  0.000
In  0.000  0.500  0.250
In  0.000  0.500  0.750
In  0.250  0.000  0.500
In  0.500  0.250  0.000
In  0.500  0.750  0.000
In  0.750  0.000  0.500

Largest 6 diffraction maxima, in order of rising 2θ, 2θ = 10–80°:
2theta, I_rel, (hkl)
24.2, 42, 2 0 0
29.8, 100, 2 1 1
42.7, 20, 2 2 2
46.3, 59, 3 2 1
49.7, 27, 4 0 0
56.0, 16, 4 2 0

Please write out number 2 again, unchanged.
# Nd6Zn3In
Theoretical powder XRD pattern, a wavelength of 1.5418 Å. Input: a structure optimized by DFT (PBE).
Peak positions follow from Bragg's law for the DFT cell and can differ from measured ones.

Crystal structure
Lattice parameters (Å, degrees): 9.565 5.194 11.566 90.00 105.79 90.00
Atoms (fractional coordinates):
Nd  0.037  0.250  0.409
Nd  0.148  0.750  0.183
Nd  0.223  0.250  0.990
Nd  0.321  0.750  0.799
Nd  0.379  0.250  0.341
Nd  0.391  0.250  0.620
Nd  0.609  0.750  0.380
Nd  0.621  0.750  0.659
Nd  0.679  0.250  0.201
Nd  0.777  0.750  0.010
Nd  0.852  0.250  0.817
Nd  0.963  0.750  0.591
Zn  0.030  0.750  0.877
Zn  0.114  0.250  0.710
Zn  0.272  0.750  0.475
Zn  0.728  0.250  0.525
Zn  0.886  0.750  0.290
Zn  0.970  0.250  0.123
In  0.452  0.750  0.098
In  0.548  0.250  0.902

Largest 6 diffraction maxima, in order of rising 2θ, 2θ = 10–80°:
2theta, I_rel, (hkl)
32.8, 42, 2 0 -4
33.0, 87, 3 1 -1
33.2, 100, 1 1 3
34.5, 53, 0 2 0
48.3, 28, 2 2 -4
61.0, 17, 1 3 3